[1]
# Sr5YIn6
Theoretical PXRD pattern, copper Kα. Input: a GGA-PBE-relaxed structure.

Main lines, sorted by position (10 to 80 degrees two-theta):
- 31.4°, intensity 100
- 31.5°, intensity 94
- 31.6°, intensity 93
- 44.8°, intensity 18
- 45.1°, intensity 17
- 45.6°, intensity 14
- 55.9°, intensity 18
- 55.9°, intensity 15
- 56.1°, intensity 32
- 56.4°, intensity 27

Crystal structure
abc: 9.8345 9.8345 5.7065
angles: 106.51 106.51 47.75
Sites, in units of the cell vectors:
1 Sr 0.0000 0.0000 0.0000
2 Sr 0.1605 0.1605 0.6611
3 Sr 0.3192 0.3192 0.3182
4 Sr 0.6808 0.6808 0.6818
5 Sr 0.8395 0.8395 0.3389
6 Y 0.5000 0.5000 0.0000
7 In 0.1156 0.5683 0.8408
8 In 0.2856 0.7144 0.5000
9 In 0.4317 0.8844 0.1592
10 In 0.5683 0.1156 0.8408
11 In 0.7144 0.2856 0.5000
12 In 0.8844 0.4317 0.1592

***

[2]
# SrYIn
Theoretical PXRD pattern, copper Kα. Input: a GGA-PBE-relaxed structure.

Main lines, sorted by position (10 to 80 degrees two-theta):
- 27.5°, intensity 11
- 29.1°, intensity 21
- 31.4°, intensity 100
- 32.1°, intensity 53
- 33.8°, intensity 12
- 37.9°, intensity 12
- 47.7°, intensity 12
- 55.4°, intensity 11
- 56.8°, intensity 12
- 58.2°, intensity 12

Crystal structure
abc: 18.4460 3.8166 5.7107
angles: 90.00 92.86 90.00
Sites, in units of the cell vectors:
1 Sr 0.0000 0.0000 0.0000
2 Sr 0.1372 0.0000 0.5222
3 Sr 0.5000 0.5000 0.0000
4 Sr 0.6372 0.5000 0.5222
5 Y 0.3054 0.0000 0.9594
6 Y 0.4302 0.0000 0.4871
7 Y 0.8054 0.5000 0.9594
8 Y 0.9302 0.5000 0.4871
9 In 0.1647 0.5000 0.0281
10 In 0.2949 0.5000 0.4403
11 In 0.6647 0.0000 0.0281
12 In 0.7949 0.0000 0.4403

***

[3]
# SrYIn
Theoretical PXRD pattern, copper Kα. Input: a GGA-PBE-relaxed structure.

Main lines, sorted by position (10 to 80 degrees two-theta):
- 26.4°, intensity 20
- 30.1°, intensity 100
- 33.0°, intensity 78
- 34.6°, intensity 64
- 47.3°, intensity 28
- 57.0°, intensity 45
- 59.9°, intensity 25
- 63.0°, intensity 10
- 69.1°, intensity 9
- 78.7°, intensity 12

Crystal structure
abc: 3.8443 3.8443 14.0618
angles: 90.00 90.00 90.00
Sites, in units of the cell vectors:
1 Sr 0.0000 0.0000 0.0000
2 Sr 0.5000 0.5000 0.2468
3 Y 0.5000 0.5000 0.5305
4 Y 0.5000 0.5000 0.7913
5 In 0.0000 0.0000 0.4041
6 In 0.0000 0.0000 0.6645

***

[4]
# Sr2YIn3
Theoretical PXRD pattern, copper Kα. Input: a GGA-PBE-relaxed structure.

Main lines, sorted by position (10 to 80 degrees two-theta):
- 22.4°, intensity 2
- 31.9°, intensity 100
- 45.7°, intensity 5
- 45.8°, intensity 12
- 56.9°, intensity 23
- 57.0°, intensity 12
- 66.7°, intensity 9
- 66.9°, intensity 2
- 75.7°, intensity 4
- 76.0°, intensity 10

Crystal structure
abc: 8.8479 8.8479 7.9480
angles: 90.00 90.00 143.08
Sites, in units of the cell vectors:
1 Sr 0.0000 0.0000 0.0000
2 Sr 0.0000 0.0000 0.5000
3 Sr 0.3367 0.6633 0.0000
4 Sr 0.6633 0.3367 0.0000
5 Y 0.3351 0.6649 0.5000
6 Y 0.6649 0.3351 0.5000
7 In 0.1730 0.8270 0.2710
8 In 0.1730 0.8270 0.7290
9 In 0.5000 0.5000 0.2696
10 In 0.5000 0.5000 0.7304
11 In 0.8270 0.1730 0.2710
12 In 0.8270 0.1730 0.7290

***

[5]
# SrY3In4
Theoretical PXRD pattern, copper Kα. Input: a GGA-PBE-relaxed structure.

Main lines, sorted by position (10 to 80 degrees two-theta):
- 33.0°, intensity 51
- 33.1°, intensity 100
- 47.3°, intensity 18
- 47.8°, intensity 8
- 59.0°, intensity 36
- 59.3°, intensity 17
- 69.1°, intensity 6
- 69.5°, intensity 11
- 78.8°, intensity 15
- 79.5°, intensity 7

Crystal structure
abc: 10.8701 7.6169 5.4361
angles: 90.00 90.00 90.00
Sites, in units of the cell vectors:
1 Sr 0.0000 0.0000 0.0000
2 Sr 0.5000 0.0000 0.0000
3 Y 0.0000 0.5000 0.0000
4 Y 0.2500 0.0000 0.4955
5 Y 0.2500 0.5000 0.4943
6 Y 0.5000 0.5000 0.0000
7 Y 0.7500 0.0000 0.5045
8 Y 0.7500 0.5000 0.5057
9 In 0.0000 0.2606 0.5000
10 In 0.0000 0.7394 0.5000
11 In 0.2500 0.2605 0.9932
12 In 0.2500 0.7395 0.9932
13 In 0.5000 0.2606 0.5000
14 In 0.5000 0.7394 0.5000
15 In 0.7500 0.2605 0.0068
16 In 0.7500 0.7395 0.0068

***

[6]
# Sr2Zn3In
Theoretical PXRD pattern, copper Kα. Input: a GGA-PBE-relaxed structure.

Main lines, sorted by position (10 to 80 degrees two-theta):
- 30.7°, intensity 16
- 31.1°, intensity 100
- 31.4°, intensity 36
- 31.8°, intensity 22
- 35.5°, intensity 16
- 36.0°, intensity 15
- 37.5°, intensity 40
- 38.0°, intensity 60
- 49.9°, intensity 12
- 59.7°, intensity 15

Crystal structure
abc: 11.2523 4.8025 7.9203
angles: 90.00 133.38 90.00
Sites, in units of the cell vectors:
1 Sr 0.0000 0.0000 0.0000
2 Sr 0.0899 0.0000 0.5937
3 Sr 0.5000 0.5000 0.0000
4 Sr 0.5899 0.5000 0.5937
5 Zn 0.2104 0.5000 0.0216
6 Zn 0.3719 0.0000 0.1811
7 Zn 0.3915 0.0000 0.5977
8 Zn 0.7104 0.0000 0.0216
9 Zn 0.8719 0.5000 0.1811
10 Zn 0.8915 0.5000 0.5977
11 In 0.2095 0.5000 0.4030
12 In 0.7095 0.0000 0.4030

***

[7]
# Sr3Zn2In2
Theoretical PXRD pattern, copper Kα. Input: a GGA-PBE-relaxed structure.

Main lines, sorted by position (10 to 80 degrees two-theta):
- 25.2°, intensity 29
- 28.8°, intensity 100
- 29.5°, intensity 37
- 32.6°, intensity 28
- 33.9°, intensity 38
- 35.4°, intensity 51
- 36.9°, intensity 20
- 40.0°, intensity 33
- 53.4°, intensity 20
- 55.9°, intensity 24

Crystal structure
abc: 12.3872 4.5098 8.5126
angles: 90.00 111.08 90.00
Sites, in units of the cell vectors:
1 Sr 0.0000 0.0000 0.0000
2 Sr 0.1850 0.0000 0.6495
3 Sr 0.3150 0.5000 0.3505
4 Sr 0.5000 0.5000 0.0000
5 Sr 0.6850 0.5000 0.6495
6 Sr 0.8150 0.0000 0.3505
7 Zn 0.1973 0.5000 0.9388
8 Zn 0.3027 0.0000 0.0612
9 Zn 0.6973 0.0000 0.9388
10 Zn 0.8027 0.5000 0.0612
11 In 0.0265 0.5000 0.3303
12 In 0.4735 0.0000 0.6697
13 In 0.5265 0.0000 0.3303
14 In 0.9735 0.5000 0.6697

***

[8]
# Ta4In5
Theoretical PXRD pattern, copper Kα. Input: a GGA-PBE-relaxed structure.

Main lines, sorted by position (10 to 80 degrees two-theta):
- 13.1°, intensity 10
- 36.0°, intensity 100
- 39.9°, intensity 37
- 45.1°, intensity 4
- 45.4°, intensity 13
- 57.8°, intensity 12
- 62.0°, intensity 20
- 70.0°, intensity 27
- 76.4°, intensity 11
- 77.7°, intensity 11

Crystal structure
abc: 7.0607 7.0607 7.0607
angles: 94.59 94.59 147.12
Sites, in units of the cell vectors:
1 Ta 0.0000 0.3437 0.3437
2 Ta 0.0000 0.6563 0.6563
3 Ta 0.3437 0.0000 0.3437
4 Ta 0.6563 0.0000 0.6563
5 In 0.0000 0.0000 0.0000
6 In 0.3291 0.3291 0.6583
7 In 0.3291 0.6709 0.0000
8 In 0.6709 0.3291 0.0000
9 In 0.6709 0.6709 0.3417

***

[9]
# TaIn5
Theoretical PXRD pattern, copper Kα. Input: a GGA-PBE-relaxed structure.

Main lines, sorted by position (10 to 80 degrees two-theta):
- 18.6°, intensity 4
- 32.5°, intensity 24
- 33.3°, intensity 29
- 36.7°, intensity 100
- 47.3°, intensity 16
- 58.1°, intensity 17
- 61.8°, intensity 21
- 68.6°, intensity 20
- 70.7°, intensity 14
- 78.0°, intensity 4

Crystal structure
abc: 5.5022 5.5022 5.3759
angles: 90.00 90.00 120.00
Sites, in units of the cell vectors:
1 Ta 0.0000 0.0000 0.0000
2 In 0.0000 0.6840 0.5000
3 In 0.3160 0.3160 0.5000
4 In 0.3333 0.6667 0.0000
5 In 0.6667 0.3333 0.0000
6 In 0.6840 0.0000 0.5000

***

[10]
# TaIn3
Theoretical PXRD pattern, copper Kα. Input: a GGA-PBE-relaxed structure.

Main lines, sorted by position (10 to 80 degrees two-theta):
- 34.2°, intensity 100
- 36.0°, intensity 27
- 38.5°, intensity 3
- 40.3°, intensity 62
- 57.0°, intensity 23
- 59.5°, intensity 18
- 68.2°, intensity 13
- 69.3°, intensity 23
- 71.5°, intensity 10
- 72.1°, intensity 11

Crystal structure
abc: 3.2297 3.2297 29.9214
angles: 90.00 90.00 120.00
Sites, in units of the cell vectors:
1 Ta 0.0000 0.0000 0.0000
2 Ta 0.3333 0.6667 0.6667
3 Ta 0.6667 0.3333 0.3333
4 In 0.0000 0.0000 0.2551
5 In 0.0000 0.0000 0.5000
6 In 0.0000 0.0000 0.7449
7 In 0.3333 0.6667 0.1667
8 In 0.3333 0.6667 0.4115
9 In 0.3333 0.6667 0.9218
10 In 0.6667 0.3333 0.0782
11 In 0.6667 0.3333 0.5885
12 In 0.6667 0.3333 0.8333

***

[11]
# Ta5In4
Theoretical PXRD pattern, copper Kα. Input: a GGA-PBE-relaxed structure.

Main lines, sorted by position (10 to 80 degrees two-theta):
- 36.2°, intensity 32
- 36.9°, intensity 97
- 38.1°, intensity 100
- 47.7°, intensity 11
- 54.1°, intensity 30
- 66.5°, intensity 10
- 67.3°, intensity 25
- 70.2°, intensity 10
- 74.2°, intensity 9
- 77.7°, intensity 22

Crystal structure
abc: 8.4324 8.4324 5.6978
angles: 90.00 90.00 120.00
Sites, in units of the cell vectors:
1 Ta 0.0000 0.2923 0.2500
2 Ta 0.0000 0.7077 0.7500
3 Ta 0.2923 0.0000 0.2500
4 Ta 0.2923 0.2923 0.7500
5 Ta 0.3333 0.6667 0.0000
6 Ta 0.3333 0.6667 0.5000
7 Ta 0.6667 0.3333 0.0000
8 Ta 0.6667 0.3333 0.5000
9 Ta 0.7077 0.0000 0.7500
10 Ta 0.7077 0.7077 0.2500
11 In 0.0000 0.0000 0.0000
12 In 0.0000 0.0000 0.5000
13 In 0.0000 0.3776 0.7500
14 In 0.0000 0.6224 0.2500
15 In 0.3776 0.0000 0.7500
16 In 0.3776 0.3776 0.2500
17 In 0.6224 0.0000 0.2500
18 In 0.6224 0.6224 0.7500

***

[12]
# TaIn4
Theoretical PXRD pattern, copper Kα. Input: a GGA-PBE-relaxed structure.

Main lines, sorted by position (10 to 80 degrees two-theta):
- 16.9°, intensity 5
- 34.9°, intensity 100
- 38.5°, intensity 37
- 42.8°, intensity 2
- 44.3°, intensity 13
- 55.5°, intensity 13
- 60.0°, intensity 20
- 67.2°, intensity 28
- 73.6°, intensity 11
- 75.4°, intensity 10

Crystal structure
abc: 7.4036 7.4036 4.0926
angles: 90.00 90.00 90.00
Sites, in units of the cell vectors:
1 Ta 0.0000 0.0000 0.0000
2 Ta 0.5000 0.5000 0.5000
3 In 0.1111 0.2903 0.5000
4 In 0.2097 0.6111 0.0000
5 In 0.2903 0.8889 0.5000
6 In 0.3889 0.2097 0.0000
7 In 0.6111 0.7903 0.0000
8 In 0.7097 0.1111 0.5000
9 In 0.7903 0.3889 0.0000
10 In 0.8889 0.7097 0.5000

***

[13]
# Ta2In
Theoretical PXRD pattern, copper Kα. Input: a GGA-PBE-relaxed structure.

Main lines, sorted by position (10 to 80 degrees two-theta):
- 37.2°, intensity 100
- 38.5°, intensity 22
- 38.7°, intensity 23
- 51.5°, intensity 10
- 55.8°, intensity 15
- 66.1°, intensity 9
- 66.2°, intensity 9
- 68.8°, intensity 16
- 69.1°, intensity 16
- 79.3°, intensity 11

Crystal structure
abc: 3.5512 4.6518 14.0231
angles: 90.00 90.00 90.00
Sites, in units of the cell vectors:
1 Ta 0.0000 0.0000 0.1711
2 Ta 0.0000 0.0000 0.8289
3 Ta 0.0000 0.5000 0.3289
4 Ta 0.0000 0.5000 0.6711
5 Ta 0.5000 0.0000 0.3289
6 Ta 0.5000 0.0000 0.6711
7 Ta 0.5000 0.5000 0.1711
8 Ta 0.5000 0.5000 0.8289
9 In 0.0000 0.0000 0.5000
10 In 0.0000 0.5000 0.0000
11 In 0.5000 0.0000 0.0000
12 In 0.5000 0.5000 0.5000

***

[14]
# TaIn3
Theoretical PXRD pattern, copper Kα. Input: a GGA-PBE-relaxed structure.

Main lines, sorted by position (10 to 80 degrees two-theta):
- 33.4°, intensity 57
- 35.4°, intensity 100
- 35.8°, intensity 49
- 39.5°, intensity 36
- 41.2°, intensity 65
- 56.8°, intensity 23
- 60.0°, intensity 21
- 69.0°, intensity 25
- 71.2°, intensity 12
- 71.9°, intensity 12

Crystal structure
abc: 10.8170 3.0457 5.3679
angles: 90.00 96.73 90.00
Sites, in units of the cell vectors:
1 Ta 0.0000 0.0000 0.0000
2 Ta 0.5000 0.5000 0.0000
3 In 0.0000 0.5000 0.5000
4 In 0.2376 0.5000 0.2366
5 In 0.2624 0.0000 0.7634
6 In 0.5000 0.0000 0.5000
7 In 0.7376 0.0000 0.2366
8 In 0.7624 0.5000 0.7634

***

[15]
# TaIn5
Theoretical PXRD pattern, copper Kα. Input: a GGA-PBE-relaxed structure.

Main lines, sorted by position (10 to 80 degrees two-theta):
- 11.9°, intensity 19
- 32.6°, intensity 93
- 33.9°, intensity 26
- 35.8°, intensity 100
- 36.2°, intensity 20
- 36.4°, intensity 43
- 37.3°, intensity 85
- 38.9°, intensity 23
- 39.2°, intensity 31
- 59.9°, intensity 29

Crystal structure
abc: 11.8071 3.2195 7.9987
angles: 90.00 112.11 90.00
Sites, in units of the cell vectors:
1 Ta 0.0000 0.0000 0.0000
2 Ta 0.5000 0.5000 0.0000
3 In 0.0267 0.0000 0.6241
4 In 0.1957 0.5000 0.3423
5 In 0.2111 0.5000 0.9685
6 In 0.3122 0.0000 0.7105
7 In 0.4223 0.0000 0.2628
8 In 0.5267 0.5000 0.6241
9 In 0.6957 0.0000 0.3423
10 In 0.7111 0.0000 0.9685
11 In 0.8122 0.5000 0.7105
12 In 0.9223 0.5000 0.2628